[1]
Simulated powder X-ray diffraction pattern of LiO3 for Cu Ka, from a structure optimized by DFT (GGA-PBE).
Peak positions follow from Bragg's law for the DFT cell and can differ from measured ones.

Largest 12 diffraction maxima, by angle, 2θ = 10–80°:
h k l, 2theta, d_spacing, Rel. int.
0 1 1, 24.2, 3.673, 33
1 0 1, 32.8, 2.733, 100
0 0 2, 33.0, 2.716, 36
1 1 0, 33.6, 2.671, 38
1 1 2, 47.8, 1.904, 15
1 2 1, 49.5, 1.842, 18
0 2 2, 49.6, 1.836, 24
2 0 0, 58.3, 1.582, 11
1 0 3, 58.8, 1.571, 4
2 0 2, 68.7, 1.367, 5
1 2 3, 70.9, 1.329, 10
1 3 2, 73.2, 1.294, 5

Structure:
```
data_LiO3
_chemical_formula_sum 'Li2 O6'
_space_group_name_H-M_alt 'I m m 2'
_space_group_IT_number 44
_space_group_name_Hall 'I 2 -2'
_cell_length_a 3.1631
_cell_length_b 4.9853
_cell_length_c 5.4318
_cell_angle_alpha 90.00
_cell_angle_beta 90.00
_cell_angle_gamma 90.00
loop_
_atom_site_label
_atom_site_type_symbol
_atom_site_fract_x
_atom_site_fract_y
_atom_site_fract_z
Li1 Li 0.0000 0.0000 0.0000
O1 O 0.0000 0.0000 0.5018
O2 O 0.0000 0.2263 0.6423
```

[2]
Simulated powder X-ray diffraction pattern of Nd4S3NCl3 for Cu Ka, from a structure optimized by DFT (GGA-PBE).
Peak positions follow from Bragg's law for the DFT cell and can differ from measured ones.

Largest 12 diffraction maxima, by angle, 2θ = 10–80°:
h k l, 2theta, d_spacing, Rel. int.
1 0 0, 10.9, 8.116, 29
2 0 0, 21.9, 4.058, 29
2 0 1, 25.5, 3.496, 100
0 0 2, 25.9, 3.443, 33
2 1 1, 31.9, 2.802, 33
2 0 2, 34.2, 2.625, 47
3 0 1, 35.7, 2.518, 53
2 2 0, 38.4, 2.343, 31
2 1 2, 39.3, 2.290, 20
2 0 3, 45.4, 1.998, 33
4 0 1, 46.7, 1.946, 12
2 2 2, 46.9, 1.937, 15

Structure:
```
data_Nd4S3NCl3
_chemical_formula_sum 'Nd8 S6 N2 Cl6'
_space_group_name_H-M_alt 'P 63 m c'
_space_group_IT_number 186
_space_group_name_Hall 'P 6c -2c'
_cell_length_a 9.3717
_cell_length_b 9.3717
_cell_length_c 6.8851
_cell_angle_alpha 90.00
_cell_angle_beta 90.00
_cell_angle_gamma 120.00
loop_
_atom_site_label
_atom_site_type_symbol
_atom_site_fract_x
_atom_site_fract_y
_atom_site_fract_z
Nd1 Nd 0.2022 0.4043 0.0000
Nd2 Nd 0.3333 0.6667 0.5345
S1 S 0.0652 0.5326 0.2783
N1 N 0.3333 0.6667 0.8789
Cl1 Cl 0.1313 0.2626 0.6104
```

[3]
Simulated powder X-ray diffraction pattern of La3Zn3Ge2SbO14 for Cu Ka, from a structure optimized by DFT (GGA-PBE).
Peak positions follow from Bragg's law for the DFT cell and can differ from measured ones.

Largest 12 diffraction maxima, by angle, 2θ = 10–80°:
h k l, 2theta, d_spacing, Rel. int.
1 1 1, 27.1, 3.289, 75
0 2 1, 29.8, 2.997, 100
2 1 0, 32.6, 2.751, 24
0 0 2, 33.9, 2.643, 18
1 2 1, 36.8, 2.440, 19
3 0 0, 37.1, 2.426, 15
3 1 0, 44.9, 2.018, 15
1 2 2, 47.7, 1.906, 30
3 1 1, 48.3, 1.886, 22
0 3 2, 51.1, 1.787, 14
3 2 1, 57.9, 1.592, 23
0 2 3, 58.1, 1.587, 23

Structure:
```
data_La3Zn3Ge2SbO14
_chemical_formula_sum 'La3 Zn3 Ge2 Sb1 O14'
_space_group_name_H-M_alt 'P 3 2 1'
_space_group_IT_number 150
_space_group_name_Hall 'P 3 2"'
_cell_length_a 8.4030
_cell_length_b 8.4030
_cell_length_c 5.2865
_cell_angle_alpha 90.00
_cell_angle_beta 90.00
_cell_angle_gamma 120.00
loop_
_atom_site_label
_atom_site_type_symbol
_atom_site_fract_x
_atom_site_fract_y
_atom_site_fract_z
La1 La 0.0000 0.4199 0.0000
Zn1 Zn 0.0000 0.7606 0.5000
Ge1 Ge 0.3333 0.6667 0.5516
Sb1 Sb 0.0000 0.0000 0.0000
O1 O 0.0813 0.2230 0.2204
O2 O 0.1456 0.6738 0.7042
O3 O 0.3333 0.6667 0.2178
```

[4]
Simulated powder X-ray diffraction pattern of MgTi2O4 for Cu Ka, from a structure optimized by DFT (GGA-PBE).
Peak positions follow from Bragg's law for the DFT cell and can differ from measured ones.

Largest 12 diffraction maxima, by angle, 2θ = 10–80°:
h k l, 2theta, d_spacing, Rel. int.
0 1 1, 23.2, 3.835, 33
1 0 1, 24.8, 3.591, 100
0 1 3, 36.2, 2.483, 48
1 1 2, 37.0, 2.432, 26
0 0 4, 39.1, 2.305, 56
0 2 0, 42.9, 2.108, 65
2 0 0, 46.6, 1.950, 49
1 2 1, 50.2, 1.818, 25
1 0 5, 55.1, 1.667, 31
0 2 4, 59.4, 1.556, 26
2 2 0, 65.2, 1.431, 30
1 2 5, 72.3, 1.308, 24

Structure:
```
data_MgTi2O4
_chemical_formula_sum 'Mg2 Ti4 O8'
_space_group_name_H-M_alt 'I m m 2'
_space_group_IT_number 44
_space_group_name_Hall 'I 2 -2'
_cell_length_a 3.8990
_cell_length_b 4.2169
_cell_length_c 9.2189
_cell_angle_alpha 90.00
_cell_angle_beta 90.00
_cell_angle_gamma 90.00
loop_
_atom_site_label
_atom_site_type_symbol
_atom_site_fract_x
_atom_site_fract_y
_atom_site_fract_z
Mg1 Mg 0.0000 0.0000 0.0000
Ti1 Ti 0.0000 0.0000 0.4226
Ti2 Ti 0.0000 0.5000 0.2234
O1 O 0.0000 0.0000 0.2150
O2 O 0.0000 0.0000 0.7050
O3 O 0.0000 0.5000 0.4442
O4 O 0.0000 0.5000 0.9832
```

[5]
Simulated powder X-ray diffraction pattern of Nb2CuO6 for Cu Ka, from a structure optimized by DFT (GGA-PBE).
Peak positions follow from Bragg's law for the DFT cell and can differ from measured ones.

Largest 12 diffraction maxima, by angle, 2θ = 10–80°:
h k l, 2theta, d_spacing, Rel. int.
3 1 0, 24.3, 3.660, 23
3 1 1, 29.8, 3.002, 100
0 2 0, 31.5, 2.840, 9
0 0 2, 34.2, 2.624, 16
0 2 1, 36.0, 2.497, 12
6 2 0, 49.8, 1.830, 8
6 0 2, 51.7, 1.768, 11
3 3 0, 51.9, 1.760, 13
6 2 1, 53.0, 1.728, 21
3 1 3, 58.5, 1.578, 8
9 1 1, 63.1, 1.474, 11
3 3 2, 63.7, 1.462, 10

Structure:
```
data_Nb2CuO6
_chemical_formula_sum 'Nb8 Cu4 O24'
_space_group_name_H-M_alt 'P b c n'
_space_group_IT_number 60
_space_group_name_Hall '-P 2n 2ab'
_cell_length_a 14.3592
_cell_length_b 5.6793
_cell_length_c 5.2471
_cell_angle_alpha 90.00
_cell_angle_beta 90.00
_cell_angle_gamma 90.00
loop_
_atom_site_label
_atom_site_type_symbol
_atom_site_fract_x
_atom_site_fract_y
_atom_site_fract_z
Nb1 Nb 0.1601 0.1837 0.2020
Cu1 Cu 0.0000 0.3291 0.7500
O1 O 0.0854 0.4141 0.3268
O2 O 0.0921 0.1004 0.8847
O3 O 0.2400 0.1338 0.5288
```

[6]
Simulated powder X-ray diffraction pattern of MgTa for Cu Ka, from a structure optimized by DFT (GGA-PBE).
Peak positions follow from Bragg's law for the DFT cell and can differ from measured ones.

Largest 12 diffraction maxima, by angle, 2θ = 10–80°:
h k l, 2theta, d_spacing, Rel. int.
0 0 1, 16.0, 5.535, 100
1 0 1, 24.3, 3.658, 62
0 1 0, 31.2, 2.862, 37
0 1 1, 35.3, 2.543, 49
2 0 0, 36.9, 2.437, 43
1 0 2, 37.4, 2.407, 82
1 1 1, 40.0, 2.254, 67
2 0 1, 40.4, 2.230, 21
2 1 0, 49.1, 1.856, 22
1 1 2, 49.5, 1.842, 46
2 1 1, 52.0, 1.759, 33
1 2 2, 77.6, 1.230, 20

Structure:
```
data_MgTa
_chemical_formula_sum 'Mg2 Ta2'
_space_group_name_H-M_alt 'P m m a'
_space_group_IT_number 51
_space_group_name_Hall '-P 2a 2a'
_cell_length_a 4.8738
_cell_length_b 2.8625
_cell_length_c 5.5353
_cell_angle_alpha 90.00
_cell_angle_beta 90.00
_cell_angle_gamma 90.00
loop_
_atom_site_label
_atom_site_type_symbol
_atom_site_fract_x
_atom_site_fract_y
_atom_site_fract_z
Mg1 Mg 0.2500 0.0000 0.1425
Ta1 Ta 0.2500 0.5000 0.6206
```

[7]
Simulated powder X-ray diffraction pattern of ZnOs for Cu Ka, from a structure optimized by DFT (GGA-PBE).
Peak positions follow from Bragg's law for the DFT cell and can differ from measured ones.

Largest 9 diffraction maxima, by angle, 2θ = 10–80°:
h k l, 2theta, d_spacing, Rel. int.
0 0 1, 20.5, 4.322, 27
1 0 0, 37.7, 2.388, 37
0 0 2, 41.8, 2.161, 23
1 0 1, 43.3, 2.091, 100
1 0 2, 57.5, 1.602, 22
0 0 3, 64.7, 1.441, 1
1 1 0, 68.0, 1.379, 16
1 1 1, 71.9, 1.314, 6
1 0 3, 77.4, 1.234, 18

Structure:
```
data_ZnOs
_chemical_formula_sum 'Zn1 Os1'
_space_group_name_H-M_alt 'P -6 m 2'
_space_group_IT_number 187
_space_group_name_Hall 'P -6 2'
_cell_length_a 2.7580
_cell_length_b 2.7580
_cell_length_c 4.3221
_cell_angle_alpha 90.00
_cell_angle_beta 90.00
_cell_angle_gamma 120.00
loop_
_atom_site_label
_atom_site_type_symbol
_atom_site_fract_x
_atom_site_fract_y
_atom_site_fract_z
Zn1 Zn 0.0000 0.0000 0.0000
Os1 Os 0.3333 0.6667 0.5000
```

[8]
Simulated powder X-ray diffraction pattern of UTeAs for Cu Ka, from a structure optimized by DFT (GGA-PBE).
Peak positions follow from Bragg's law for the DFT cell and can differ from measured ones.

Largest 12 diffraction maxima, by angle, 2θ = 10–80°:
h k l, 2theta, d_spacing, Rel. int.
0 0 2, 19.9, 4.452, 28
1 0 1, 23.8, 3.745, 57
1 0 2, 29.5, 3.027, 34
1 1 0, 30.6, 2.919, 62
1 1 1, 32.3, 2.773, 36
1 1 2, 36.8, 2.441, 100
1 0 3, 37.3, 2.410, 93
2 0 0, 43.9, 2.064, 58
1 0 5, 56.3, 1.635, 33
2 1 3, 58.9, 1.567, 51
2 1 5, 74.0, 1.282, 30
3 1 2, 76.0, 1.253, 26

Structure:
```
data_UTeAs
_chemical_formula_sum 'U2 Te2 As2'
_space_group_name_H-M_alt 'P 4/n m m'
_space_group_IT_number 129
_cell_length_a 4.1276
_cell_length_b 4.1276
_cell_length_c 8.9037
_cell_angle_alpha 90.00
_cell_angle_beta 90.00
_cell_angle_gamma 90.00
loop_
_space_group_symop_operation_xyz
'x,y,z'
'-x,-y,-z'
'-y+1/2,x,z'
'y+1/2,-x,-z'
'-x+1/2,-y+1/2,z'
'x+1/2,y+1/2,-z'
'y,-x+1/2,z'
'-y,x+1/2,-z'
'x+1/2,-y,-z'
'-x+1/2,y,z'
'-y,-x,-z'
'y,x,z'
'-x,y+1/2,-z'
'x,-y+1/2,z'
'y+1/2,x+1/2,-z'
'-y+1/2,-x+1/2,z'
loop_
_atom_site_label
_atom_site_type_symbol
_atom_site_fract_x
_atom_site_fract_y
_atom_site_fract_z
U1 U 0.2500 0.2500 0.2461
Te1 Te 0.2500 0.2500 0.6296
As1 As 0.2500 0.7500 0.0000
```

[9]
Simulated powder X-ray diffraction pattern of CeSe2 for Cu Ka, from a structure optimized by DFT (GGA-PBE).
Peak positions follow from Bragg's law for the DFT cell and can differ from measured ones.

Largest 12 diffraction maxima, by angle, 2θ = 10–80°:
h k l, 2theta, d_spacing, Rel. int.
1 0 1, 10.8, 8.164, 100
0 0 2, 15.3, 5.803, 24
2 1 0, 17.2, 5.148, 17
2 1 1, 18.9, 4.707, 58
2 0 2, 21.8, 4.085, 13
2 2 1, 23.1, 3.844, 15
2 1 3, 28.9, 3.091, 18
2 0 4, 34.6, 2.591, 9
4 1 2, 35.7, 2.515, 25
3 3 2, 36.5, 2.461, 17
4 1 4, 45.1, 2.012, 10
5 1 3, 46.6, 1.949, 13

Structure:
```
data_CeSe2
_chemical_formula_sum 'Ce8 Se16'
_space_group_name_H-M_alt 'P -4 n 2'
_space_group_IT_number 118
_space_group_name_Hall 'P -4 -2n'
_cell_length_a 11.5114
_cell_length_b 11.5114
_cell_length_c 11.6065
_cell_angle_alpha 90.00
_cell_angle_beta 90.00
_cell_angle_gamma 90.00
loop_
_atom_site_label
_atom_site_type_symbol
_atom_site_fract_x
_atom_site_fract_y
_atom_site_fract_z
Ce1 Ce 0.0470 0.2967 0.0467
Se1 Se 0.0000 0.5000 0.5628
Se2 Se 0.1528 0.3472 0.2500
Se3 Se 0.1575 0.8144 0.0834
```